# 1
This entry pairs a crystal structure of BaTlF4 with its theoretical XRD peak list. Radiation: Cu Kα (λ = 1.5418 Å). Structure: the GGA-PBE geometry in Alexandria.
Intensities are scaled so that the largest is 100.

Atomic structure:
```
data_BaTlF4
_chemical_formula_sum 'Ba4 Tl4 F16'
_cell_length_a 6.052
_cell_length_b 6.052
_cell_length_c 12.194
_cell_angle_alpha 90.00
_cell_angle_beta 90.00
_cell_angle_gamma 90.00
_symmetry_space_group_name_H-M 'I 41/a m d'
_symmetry_Int_Tables_number 141
loop_
_symmetry_equiv_pos_as_xyz
'x,y,z'
'-x,-y,-z'
'-y+1/4,x+3/4,z+1/4'
'y+1/4,-x+3/4,-z+1/4'
'-x+1/2,-y,z+1/2'
'x+1/2,y,-z+1/2'
'y+1/4,-x+1/4,z+3/4'
'-y+1/4,x+1/4,-z+3/4'
'x,-y,-z'
'-x,y,z'
'-y+1/4,-x+1/4,-z+3/4'
'y+1/4,x+1/4,z+3/4'
'-x+1/2,y,-z+1/2'
'x+1/2,-y,z+1/2'
'y+1/4,x+3/4,-z+1/4'
'-y+1/4,-x+3/4,z+1/4'
'x+1/2,y+1/2,z+1/2'
'-x+1/2,-y+1/2,-z+1/2'
'-y+3/4,x+1/4,z+3/4'
'y+3/4,-x+1/4,-z+3/4'
'-x,-y+1/2,z'
'x,y+1/2,-z'
'y+3/4,-x+3/4,z+1/4'
'-y+3/4,x+3/4,-z+1/4'
'x+1/2,-y+1/2,-z+1/2'
'-x+1/2,y+1/2,z+1/2'
'-y+3/4,-x+3/4,-z+1/4'
'y+3/4,x+3/4,z+1/4'
'-x,y+1/2,-z'
'x,-y+1/2,z'
'y+3/4,x+1/4,-z+3/4'
'-y+3/4,-x+1/4,z+3/4'
loop_
_atom_site_label
_atom_site_fract_x
_atom_site_fract_y
_atom_site_fract_z
Ba1 0.000 0.250 0.375
Tl1 0.000 0.250 0.875
F1 0.230 0.000 0.000
```

The 6 most intense peaks (10 to 90 degrees two-theta), low angle first:
- 2θ 25.43, intensity 100, hkl 1 1 2
- 2θ 29.52, intensity 20, hkl 2 0 0
- 2θ 42.07, intensity 40, hkl 2 0 4
- 2θ 42.23, intensity 19, hkl 2 2 0
- 2θ 49.66, intensity 16, hkl 1 1 6
- 2θ 49.94, intensity 32, hkl 3 1 2



# 2
This entry pairs a crystal structure of BaUTl2F8 with its theoretical XRD peak list. Radiation: Cu Kα (λ = 1.5418 Å). Structure: the GGA-PBE geometry in Alexandria.
Intensities are scaled so that the largest is 100.

Atomic structure:
```
data_BaUTl2F8
_chemical_formula_sum 'Ba1 U1 Tl2 F8'
_cell_length_a 4.175
_cell_length_b 8.505
_cell_length_c 6.726
_cell_angle_alpha 90.00
_cell_angle_beta 90.05
_cell_angle_gamma 90.00
_symmetry_space_group_name_H-M 'P 1 2/m 1'
_symmetry_Int_Tables_number 10
loop_
_symmetry_equiv_pos_as_xyz
'x,y,z'
'-x,-y,-z'
'-x,y,-z'
'x,-y,z'
loop_
_atom_site_label
_atom_site_fract_x
_atom_site_fract_y
_atom_site_fract_z
Ba1 0.000 0.000 0.000
U1 0.000 0.500 0.000
Tl1 0.500 0.246 0.500
F1 0.000 0.291 0.201
F2 0.500 0.000 0.241
F3 0.500 0.500 0.181
```

The 6 most intense peaks (10 to 90 degrees two-theta), low angle first:
- 2θ 24.77, intensity 100, hkl 0 2 1
- 2θ 25.11, intensity 99, hkl 1 0 1
- 2θ 29.99, intensity 40, hkl 1 2 0
- 2θ 40.45, intensity 75, hkl 1 2 2
- 2θ 50.01, intensity 30, hkl 1 4 1
- 2θ 50.56, intensity 30, hkl 2 2 1